(1)
Theoretical X-ray diffraction stick pattern of NdSm2Er12 for λ = 1.5418 Å (Cu Kα), from a structure optimized by DFT (PBE).
Intensities are scaled so that the largest is 100.

Structure:
```
data_NdSm2Er12
_chemical_formula_sum 'Nd4 Sm8 Er48'
_cell_length_a 7.083
_cell_length_b 11.181
_cell_length_c 24.048
_cell_angle_alpha 90.00
_cell_angle_beta 94.05
_cell_angle_gamma 90.00
_symmetry_space_group_name_H-M 'C 1 2/m 1'
_symmetry_Int_Tables_number 12
loop_
_symmetry_equiv_pos_as_xyz
'x,y,z'
'-x,-y,-z'
'-x,y,-z'
'x,-y,z'
'x+1/2,y+1/2,z'
'-x+1/2,-y+1/2,-z'
'-x+1/2,y+1/2,-z'
'x+1/2,-y+1/2,z'
loop_
_atom_site_label
_atom_site_fract_x
_atom_site_fract_y
_atom_site_fract_z
Nd1 0.249 0.000 0.000
Sm1 0.072 0.000 0.281
Sm2 0.072 0.500 0.283
Er1 0.017 0.252 0.068
Er2 0.033 0.000 0.136
Er3 0.033 0.500 0.138
Er4 0.112 0.251 0.445
Er5 0.141 0.000 0.573
Er6 0.143 0.500 0.572
Er7 0.166 0.250 0.669
Er8 0.203 0.250 0.807
```

Most intense lines, 2θ = 10–90°, in order of rising 2θ:
2θ (°)	intensity	hkl
30.60	70	0 2 7
31.32	100	2 2 -3
32.02	82	0 4 0
32.57	39	2 0 5
33.93	38	0 2 8
34.34	26	2 2 4
46.32	29	2 4 5
62.05	25	4 4 -1

=====

(2)
Theoretical X-ray diffraction stick pattern of NdSm4Er4 for λ = 1.5418 Å (Cu Kα), from a structure optimized by DFT (PBE).
Intensities are scaled so that the largest is 100.

Structure:
```
data_NdSm4Er4
_chemical_formula_sum 'Nd2 Sm8 Er8'
_cell_length_a 10.751
_cell_length_b 10.751
_cell_length_c 5.041
_cell_angle_alpha 90.00
_cell_angle_beta 90.00
_cell_angle_gamma 90.00
_symmetry_space_group_name_H-M 'I 4/m m m'
_symmetry_Int_Tables_number 139
_symmetry_space_group_name_Hall '-I 4 2'
loop_
_atom_site_label
_atom_site_fract_x
_atom_site_fract_y
_atom_site_fract_z
Nd1 0.000 0.000 0.000
Sm1 0.000 0.332 0.000
Er1 0.167 0.167 0.500
```

Most intense lines, 2θ = 10–90°, in order of rising 2θ:
2θ (°)	intensity	hkl
30.61	100	3 0 1
35.42	34	3 3 0
35.62	17	0 0 2
50.96	12	6 0 0
51.11	24	3 3 2
60.63	29	6 3 1
60.89	14	3 0 3
63.72	12	6 0 2